Entry 1:
Calculated XRD peak list of V2Fe2PbO8F2 for Cu Ka, from a crystal structure in the Materials Project, relaxed with PBE+U.

Largest 10 diffraction maxima, by angle, 2θ = 10–80°:
d = 4.700 Å, I 1000; d = 4.606 Å, I 539; d = 3.338 Å, I 849; d = 3.124 Å, I 585; d = 2.854 Å, I 552; d = 2.791 Å, I 532; d = 2.625 Å, I 647; d = 2.350 Å, I 364; d = 1.793 Å, I 336; d = 1.731 Å, I 353

Structural model:
```
V2Fe2PbO8F2
1.0
4.687 -3.111 0.000
4.687 3.111 0.000
-3.336 0.000 7.173
V Fe Pb O F
2 2 1 8 2
direct
0.073 0.073 0.267
0.927 0.927 0.733
0.000 0.500 0.000
0.500 0.000 0.000
0.500 0.500 0.500
0.177 0.177 0.116
0.183 0.724 0.233
0.214 0.214 0.484
0.276 0.817 0.767
0.724 0.183 0.233
0.786 0.786 0.516
0.817 0.276 0.767
0.823 0.823 0.884
0.332 0.332 0.911
0.668 0.668 0.089
```



Entry 2:
Calculated XRD peak list of Ti5Fe11O24 for Cu Ka, from a crystal structure in the Materials Project, relaxed with PBE+U.

Largest 10 diffraction maxima, by angle, 2θ = 10–80°:
d = 3.767 Å, I 220; d = 2.758 Å, I 1000; d = 2.577 Å, I 252; d = 2.576 Å, I 251; d = 2.569 Å, I 247; d = 2.257 Å, I 171; d = 1.886 Å, I 134; d = 1.733 Å, I 361; d = 1.729 Å, I 181; d = 1.520 Å, I 222

Structural model:
```
Ti5Fe11O24
1.0
5.539 0.000 0.000
0.795 9.114 0.000
0.754 3.304 8.510
Ti Fe O
5 11 24
direct
0.000 0.000 0.000
0.003 0.492 0.502
0.084 0.640 0.145
0.500 0.000 0.501
0.504 0.496 0.998
0.007 0.746 0.749
0.082 0.144 0.643
0.087 0.390 0.899
0.088 0.894 0.399
0.504 0.248 0.752
0.504 0.749 0.251
0.581 0.392 0.396
0.584 0.143 0.150
0.584 0.893 0.894
0.588 0.643 0.649
0.989 0.244 0.249
0.141 0.457 0.105
0.144 0.855 0.193
0.150 0.952 0.591
0.154 0.354 0.681
0.270 0.051 0.856
0.279 0.550 0.355
0.303 0.094 0.300
0.305 0.592 0.801
0.442 0.681 0.058
0.445 0.792 0.448
0.454 0.177 0.558
0.459 0.292 0.949
0.638 0.351 0.183
0.640 0.853 0.684
0.647 0.944 0.104
0.654 0.445 0.607
0.773 0.547 0.859
0.786 0.039 0.360
0.799 0.102 0.799
0.805 0.606 0.290
0.950 0.687 0.537
0.951 0.300 0.450
0.954 0.180 0.051
0.959 0.790 0.963
```



Entry 3:
Calculated XRD peak list of Li2Cr3FeO8 for Cu Ka, from a crystal structure in the Materials Project, relaxed with PBE+U.

Largest 10 diffraction maxima, by angle, 2θ = 10–80°:
d = 4.767 Å, I 972; d = 4.514 Å, I 603; d = 4.478 Å, I 1000; d = 2.509 Å, I 312; d = 2.493 Å, I 303; d = 2.458 Å, I 260; d = 1.999 Å, I 333; d = 1.986 Å, I 299; d = 1.975 Å, I 286; d = 1.469 Å, I 639

Structural model:
```
Li2Cr3FeO8
1.0
2.940 -5.088 0.000
2.940 5.088 0.000
-0.139 0.000 9.534
Li Cr Fe O
4 6 2 16
direct
0.000 0.000 0.000
0.000 0.000 0.500
0.336 0.668 0.602
0.668 0.336 0.102
0.169 0.832 0.285
0.170 0.340 0.282
0.340 0.170 0.782
0.663 0.832 0.285
0.832 0.169 0.785
0.832 0.663 0.785
0.328 0.665 0.009
0.665 0.328 0.509
0.038 0.528 0.162
0.152 0.324 0.894
0.153 0.828 0.893
0.324 0.152 0.394
0.337 0.671 0.394
0.480 0.963 0.165
0.487 0.527 0.161
0.527 0.487 0.661
0.528 0.038 0.662
0.671 0.337 0.894
0.674 0.838 0.891
0.828 0.153 0.393
0.838 0.674 0.391
0.963 0.480 0.665
0.996 0.997 0.685
0.997 0.996 0.185
```



Number 1 is which compound?
V2Fe2PbO8F2